Record 1
Calculated powder diffractogram of Li3CrP2O8 for Cu Kα X-rays, from a PBE+U-relaxed structure.
No peak broadening, texture or thermal motion is included.

Structural model:
Cell lengths 8.116, 8.466, 10.312 Å; angles 89.75, 89.97, 72.45 degrees
Fractional positions:
1 Li 0.000 0.000 0.000
2 Li 0.011 0.517 0.193
3 Li 0.199 0.808 0.680
4 Li 0.540 0.022 0.188
5 Li 0.704 0.344 0.685
6 Li 0.722 0.842 0.490
7 Li 0.742 0.282 0.174
8 Li 0.754 0.772 0.006
9 Li 0.822 0.445 0.912
10 Li 0.883 0.895 0.758
11 Li 0.900 0.406 0.426
12 Li 0.974 0.077 0.503
13 Cr 0.235 0.298 0.984
14 Cr 0.236 0.807 0.195
15 Cr 0.473 0.052 0.689
16 Cr 0.483 0.552 0.486
17 P 0.073 0.700 0.435
18 P 0.075 0.186 0.762
19 P 0.141 0.624 0.930
20 P 0.146 0.130 0.251
21 P 0.571 0.230 0.428
22 P 0.580 0.728 0.749
23 P 0.634 0.650 0.255
24 P 0.643 0.151 0.926
25 O 0.006 0.561 0.477
26 O 0.016 0.531 0.992
27 O 0.036 0.031 0.182
28 O 0.037 0.039 0.693
29 O 0.073 0.196 0.381
30 O 0.079 0.704 0.800
31 O 0.105 0.149 0.914
32 O 0.109 0.679 0.283
33 O 0.155 0.763 0.023
34 O 0.163 0.275 0.164
35 O 0.248 0.214 0.716
36 O 0.248 0.704 0.502
37 O 0.315 0.480 0.926
38 O 0.326 0.990 0.258
39 O 0.397 0.374 0.433
40 O 0.397 0.863 0.754
41 O 0.457 0.629 0.218
42 O 0.475 0.138 0.996
43 O 0.556 0.084 0.514
44 O 0.568 0.585 0.661
45 O 0.601 0.188 0.777
46 O 0.619 0.688 0.407
47 O 0.626 0.169 0.292
48 O 0.653 0.662 0.880
49 O 0.676 0.790 0.181
50 O 0.683 0.838 0.683
51 O 0.701 0.315 0.492
52 O 0.713 0.282 0.986
53 O 0.780 0.485 0.237
54 O 0.780 0.977 0.936
55 O 0.924 0.344 0.746
56 O 0.946 0.871 0.464

The 10 most intense peaks (2θ from 5° to 70°), by angle:
two_theta, intensity
13.94, 31
14.31, 46
15.80, 33
20.44, 43
21.77, 100
22.02, 39
22.99, 46
24.57, 40
34.80, 42
36.71, 53

Record 2
Calculated powder diffractogram of LiCrP2O7 for Cu Kα X-rays, from a PBE+U-relaxed structure.
No peak broadening, texture or thermal motion is included.

Structural model:
Cell lengths 6.959, 8.263, 8.987 Å; angles 90.00, 114.56, 90.00 degrees
Fractional positions:
1 Li 0.213 0.048 0.343
2 Li 0.213 0.452 0.843
3 Li 0.787 0.548 0.157
4 Li 0.787 0.952 0.657
5 Cr 0.266 0.080 0.886
6 Cr 0.266 0.420 0.386
7 Cr 0.734 0.580 0.614
8 Cr 0.734 0.920 0.114
9 P 0.033 0.736 0.964
10 P 0.033 0.764 0.464
11 P 0.442 0.730 0.257
12 P 0.442 0.770 0.757
13 P 0.558 0.230 0.243
14 P 0.558 0.270 0.743
15 P 0.967 0.236 0.536
16 P 0.967 0.264 0.036
17 O 0.029 0.099 0.664
18 O 0.029 0.401 0.164
19 O 0.081 0.603 0.406
20 O 0.081 0.897 0.906
21 O 0.128 0.249 0.459
22 O 0.128 0.251 0.959
23 O 0.243 0.659 0.102
24 O 0.243 0.841 0.602
25 O 0.384 0.239 0.308
26 O 0.384 0.261 0.808
27 O 0.391 0.619 0.821
28 O 0.391 0.881 0.321
29 O 0.489 0.582 0.380
30 O 0.489 0.918 0.880
31 O 0.511 0.082 0.120
32 O 0.511 0.418 0.620
33 O 0.609 0.119 0.679
34 O 0.609 0.381 0.179
35 O 0.616 0.739 0.192
36 O 0.616 0.761 0.692
37 O 0.757 0.159 0.398
38 O 0.757 0.341 0.898
39 O 0.872 0.749 0.041
40 O 0.872 0.751 0.541
41 O 0.919 0.103 0.094
42 O 0.919 0.397 0.594
43 O 0.971 0.599 0.836
44 O 0.971 0.901 0.336

The 10 most intense peaks (2θ from 5° to 70°), by angle:
two_theta, intensity
15.25, 49
17.40, 67
21.51, 28
25.58, 36
29.64, 83
29.80, 93
30.58, 100
35.74, 20
43.12, 28
58.61, 26

Record 3
Calculated powder diffractogram of LiCrP2O7 for Cu Kα X-rays, from a PBE+U-relaxed structure.
No peak broadening, texture or thermal motion is included.

Structural model:
Cell lengths 4.868, 8.184, 7.002 Å; angles 90.00, 108.45, 90.00 degrees
Fractional positions:
1 Li 0.179 0.000 0.175
2 Li 0.821 0.500 0.825
3 Cr 0.215 0.363 0.229
4 Cr 0.785 0.863 0.771
5 P 0.215 0.079 0.587
6 P 0.399 0.682 0.022
7 P 0.601 0.182 0.978
8 P 0.785 0.579 0.413
9 O 0.051 0.539 0.354
10 O 0.135 0.169 0.384
11 O 0.183 0.824 0.981
12 O 0.248 0.516 0.010
13 O 0.402 0.183 0.108
14 O 0.402 0.929 0.583
15 O 0.407 0.213 0.747
16 O 0.593 0.713 0.253
17 O 0.598 0.429 0.417
18 O 0.598 0.683 0.892
19 O 0.752 0.016 0.990
20 O 0.817 0.324 0.019
21 O 0.865 0.669 0.616
22 O 0.949 0.039 0.646

The 10 most intense peaks (2θ from 5° to 70°), by angle:
two_theta, intensity
17.19, 100
22.10, 22
22.47, 46
25.57, 17
26.78, 24
28.97, 30
29.44, 57
29.80, 28
34.78, 16
43.46, 13

Record 4
Calculated powder diffractogram of LiCrP4O12 for Cu Kα X-rays, from a PBE+U-relaxed structure.
No peak broadening, texture or thermal motion is included.

Structural model:
Cell lengths 8.464, 8.464, 7.695 Å; angles 97.84, 97.84, 112.18 degrees
Fractional positions:
1 Li 0.153 0.847 0.500
2 Li 0.847 0.153 0.000
3 Cr 0.537 0.794 0.966
4 Cr 0.794 0.537 0.466
5 P 0.089 0.426 0.378
6 P 0.250 0.900 0.120
7 P 0.426 0.089 0.878
8 P 0.465 0.624 0.544
9 P 0.624 0.465 0.044
10 P 0.725 0.878 0.386
11 P 0.878 0.725 0.886
12 P 0.900 0.250 0.620
13 O 0.007 0.291 0.213
14 O 0.029 0.576 0.411
15 O 0.047 0.843 0.030
16 O 0.081 0.341 0.555
17 O 0.264 0.935 0.316
18 O 0.291 0.007 0.713
19 O 0.296 0.516 0.391
20 O 0.312 0.769 0.030
21 O 0.341 0.081 0.055
22 O 0.411 0.672 0.714
23 O 0.516 0.296 0.891
24 O 0.522 0.578 0.047
25 O 0.553 0.797 0.466
26 O 0.576 0.029 0.911
27 O 0.578 0.522 0.547
28 O 0.672 0.411 0.214
29 O 0.675 0.927 0.211
30 O 0.761 0.823 0.885
31 O 0.769 0.312 0.530
32 O 0.797 0.553 0.966
33 O 0.823 0.761 0.385
34 O 0.843 0.047 0.530
35 O 0.927 0.675 0.711
36 O 0.935 0.264 0.816

The 10 most intense peaks (2θ from 5° to 70°), by angle:
two_theta, intensity
11.53, 100
14.77, 35
17.34, 27
18.20, 50
19.39, 28
23.82, 84
25.36, 44
28.67, 20
34.52, 20
34.67, 24

Record 5
Calculated powder diffractogram of LiCr4P3O12 for Cu Kα X-rays, from a PBE+U-relaxed structure.
No peak broadening, texture or thermal motion is included.

Structural model:
Cell lengths 8.895, 8.895, 7.355 Å; angles 111.47, 111.47, 90.14 degrees
Fractional positions:
1 Li 0.006 0.994 0.750
2 Li 0.994 0.006 0.250
3 Cr 0.061 0.386 0.151
4 Cr 0.267 0.733 0.750
5 Cr 0.386 0.061 0.651
6 Cr 0.493 0.507 0.250
7 Cr 0.507 0.493 0.750
8 Cr 0.614 0.939 0.349
9 Cr 0.733 0.267 0.250
10 Cr 0.939 0.614 0.849
11 P 0.116 0.337 0.609
12 P 0.278 0.722 0.250
13 P 0.337 0.116 0.109
14 P 0.663 0.884 0.891
15 P 0.722 0.278 0.750
16 P 0.884 0.663 0.391
17 O 0.015 0.700 0.618
18 O 0.048 0.405 0.781
19 O 0.167 0.746 0.052
20 O 0.172 0.177 0.096
21 O 0.177 0.172 0.596
22 O 0.254 0.833 0.448
23 O 0.260 0.473 0.658
24 O 0.267 0.541 0.242
25 O 0.300 0.985 0.882
26 O 0.405 0.048 0.281
27 O 0.459 0.733 0.258
28 O 0.473 0.260 0.158
29 O 0.527 0.740 0.842
30 O 0.541 0.267 0.742
31 O 0.595 0.952 0.719
32 O 0.700 0.015 0.118
33 O 0.733 0.459 0.758
34 O 0.740 0.527 0.342
35 O 0.746 0.167 0.552
36 O 0.823 0.828 0.404
37 O 0.828 0.823 0.904
38 O 0.833 0.254 0.948
39 O 0.952 0.595 0.219
40 O 0.985 0.300 0.382

The 10 most intense peaks (2θ from 5° to 70°), by angle:
two_theta, intensity
10.82, 27
14.06, 37
25.86, 36
26.04, 100
28.38, 35
30.58, 45
32.98, 72
33.36, 26
37.48, 24
52.55, 21

Record 6
Calculated powder diffractogram of Li3Cr3P4O16 for Cu Kα X-rays, from a PBE+U-relaxed structure.
No peak broadening, texture or thermal motion is included.

Structural model:
Cell lengths 7.571, 7.958, 10.125 Å; angles 90.00, 93.73, 90.00 degrees
Fractional positions:
1 Li 0.145 0.000 0.076
2 Li 0.151 0.004 0.576
3 Li 0.340 0.273 0.672
4 Li 0.660 0.773 0.328
5 Li 0.849 0.504 0.424
6 Li 0.855 0.500 0.924
7 Cr 0.233 0.634 0.624
8 Cr 0.243 0.650 0.126
9 Cr 0.357 0.283 0.179
10 Cr 0.643 0.783 0.821
11 Cr 0.757 0.150 0.874
12 Cr 0.767 0.134 0.376
13 P 0.048 0.840 0.856
14 P 0.053 0.828 0.357
15 P 0.444 0.443 0.890
16 P 0.449 0.452 0.400
17 P 0.551 0.952 0.600
18 P 0.556 0.943 0.110
19 P 0.947 0.328 0.643
20 P 0.952 0.340 0.144
21 O 0.004 0.511 0.604
22 O 0.011 0.519 0.105
23 O 0.099 0.207 0.656
24 O 0.115 0.221 0.144
25 O 0.130 0.829 0.721
26 O 0.148 0.838 0.224
27 O 0.189 0.783 0.965
28 O 0.197 0.777 0.468
29 O 0.300 0.495 0.785
30 O 0.308 0.491 0.278
31 O 0.349 0.442 0.526
32 O 0.358 0.441 0.029
33 O 0.399 0.071 0.592
34 O 0.404 0.072 0.096
35 O 0.486 0.767 0.144
36 O 0.493 0.770 0.654
37 O 0.507 0.270 0.346
38 O 0.514 0.267 0.856
39 O 0.596 0.572 0.904
40 O 0.601 0.571 0.408
41 O 0.642 0.941 0.971
42 O 0.651 0.942 0.474
43 O 0.692 0.991 0.722
44 O 0.700 0.995 0.215
45 O 0.803 0.277 0.532
46 O 0.811 0.283 0.035
47 O 0.852 0.338 0.776
48 O 0.870 0.329 0.279
49 O 0.885 0.721 0.856
50 O 0.901 0.707 0.344
51 O 0.989 0.019 0.895
52 O 0.996 0.011 0.396

The 10 most intense peaks (2θ from 5° to 70°), by angle:
two_theta, intensity
16.18, 100
20.50, 33
21.79, 52
23.38, 87
24.53, 50
26.11, 86
30.51, 53
32.69, 25
35.54, 29
38.33, 33

Record 7
Calculated powder diffractogram of LiCrPO4 for Cu Kα X-rays, from a PBE+U-relaxed structure.
No peak broadening, texture or thermal motion is included.

Structural model:
Cell lengths 4.803, 10.302, 6.363 Å; angles 90.00, 90.28, 90.00 degrees
Fractional positions:
1 Li 0.212 0.000 0.224
2 Li 0.276 0.974 0.718
3 Li 0.724 0.474 0.282
4 Li 0.788 0.500 0.776
5 Cr 0.196 0.269 0.004
6 Cr 0.297 0.703 0.492
7 Cr 0.703 0.203 0.508
8 Cr 0.804 0.769 0.996
9 P 0.157 0.392 0.518
10 P 0.354 0.577 0.017
11 P 0.646 0.077 0.983
12 P 0.843 0.892 0.482
13 O 0.010 0.317 0.334
14 O 0.028 0.338 0.725
15 O 0.034 0.592 0.006
16 O 0.055 0.536 0.503
17 O 0.449 0.432 0.020
18 O 0.477 0.380 0.509
19 O 0.485 0.637 0.221
20 O 0.500 0.144 0.173
21 O 0.500 0.644 0.827
22 O 0.515 0.137 0.779
23 O 0.523 0.880 0.491
24 O 0.551 0.932 0.980
25 O 0.945 0.036 0.497
26 O 0.966 0.092 0.994
27 O 0.972 0.838 0.275
28 O 0.990 0.817 0.666

The 10 most intense peaks (2θ from 5° to 70°), by angle:
two_theta, intensity
17.21, 30
20.40, 79
24.73, 44
24.83, 48
28.05, 100
29.03, 35
32.04, 28
34.85, 28
35.03, 75
35.12, 61